[1]
Calculated powder X-ray diffraction pattern
Compound: Pr8IrRh3Cl4
Radiation: Cu Kα (weighted mean of Kα1 and Kα2)
Structure: a structure optimized by DFT (PBE)

Main lines, by angle (2θ = 15–90°):
d/Å	I_rel
3.414	10
3.033	100
2.413	21
2.234	32
2.065	36
1.993	10
1.799	14
1.707	18
1.316	15
1.227	10

Structure:
```
data_Pr8IrRh3Cl4
_symmetry_space_group_name_H-M 'P 1'
_symmetry_Int_Tables_number 1
_cell_length_a 8.998
_cell_length_b 8.998
_cell_length_c 8.998
_cell_angle_alpha 54.65
_cell_angle_beta 54.65
_cell_angle_gamma 54.65
loop_
_symmetry_equiv_pos_as_xyz
'x,y,z'
loop_
_atom_site_label
_atom_site_fract_x
_atom_site_fract_y
_atom_site_fract_z
Pr1 0.235 0.235 0.235
Pr2 0.236 0.734 0.734
Pr3 0.266 0.266 0.764
Pr4 0.266 0.764 0.266
Pr5 0.734 0.236 0.734
Pr6 0.734 0.734 0.236
Pr7 0.764 0.266 0.266
Pr8 0.765 0.765 0.765
Ir1 0.500 0.500 0.500
Rh1 0.000 0.000 0.500
Rh2 0.000 0.500 0.000
Rh3 0.500 0.000 0.000
Cl1 0.000 0.000 0.000
Cl2 0.000 0.500 0.500
Cl3 0.500 0.000 0.500
Cl4 0.500 0.500 0.000
```


[2]
Calculated powder X-ray diffraction pattern
Compound: Zr5IrRh2
Radiation: Cu Kα (weighted mean of Kα1 and Kα2)
Structure: a structure optimized by DFT (PBE)

Main lines, by angle (2θ = 15–90°):
d/Å	I_rel
3.489	29
3.235	24
2.575	77
2.564	23
2.468	23
2.390	98
2.354	100
2.210	68
1.903	26
1.301	24

Structure:
```
data_Zr5IrRh2
_symmetry_space_group_name_H-M 'P 1'
_symmetry_Int_Tables_number 1
_cell_length_a 6.610
_cell_length_b 11.127
_cell_length_c 4.420
_cell_angle_alpha 90.00
_cell_angle_beta 90.00
_cell_angle_gamma 90.00
loop_
_symmetry_equiv_pos_as_xyz
'x,y,z'
loop_
_atom_site_label
_atom_site_fract_x
_atom_site_fract_y
_atom_site_fract_z
Zr1 0.000 0.000 0.000
Zr2 0.158 0.283 0.000
Zr3 0.175 0.595 0.500
Zr4 0.325 0.095 0.500
Zr5 0.342 0.783 0.000
Zr6 0.500 0.500 0.000
Zr7 0.658 0.217 0.000
Zr8 0.675 0.905 0.500
Zr9 0.825 0.405 0.500
Zr10 0.842 0.717 0.000
Ir1 0.000 0.500 0.000
Ir2 0.500 0.000 0.000
Rh1 0.056 0.839 0.500
Rh2 0.444 0.339 0.500
Rh3 0.556 0.661 0.500
Rh4 0.944 0.161 0.500
```


[3]
Calculated powder X-ray diffraction pattern
Compound: Mn8Fe3N8
Radiation: Cu Kα (weighted mean of Kα1 and Kα2)
Structure: a structure optimized by DFT (PBE)

Main lines, by angle (2θ = 15–90°):
d/Å	I_rel
2.316	100
2.019	32
2.014	31
1.985	30
1.426	17
1.415	33
1.215	11
1.213	11
1.200	10
1.158	16

Structure:
```
data_Mn8Fe3N8
_symmetry_space_group_name_H-M 'P 1'
_symmetry_Int_Tables_number 1
_cell_length_a 7.468
_cell_length_b 7.468
_cell_length_c 6.359
_cell_angle_alpha 105.29
_cell_angle_beta 105.29
_cell_angle_gamma 31.37
loop_
_symmetry_equiv_pos_as_xyz
'x,y,z'
loop_
_atom_site_label
_atom_site_fract_x
_atom_site_fract_y
_atom_site_fract_z
Mn1 0.044 0.044 0.227
Mn2 0.142 0.142 0.695
Mn3 0.319 0.319 0.583
Mn4 0.403 0.403 0.035
Mn5 0.597 0.597 0.965
Mn6 0.681 0.681 0.417
Mn7 0.858 0.858 0.305
Mn8 0.956 0.956 0.773
Fe1 0.226 0.226 0.145
Fe2 0.500 0.500 0.500
Fe3 0.774 0.774 0.855
N1 0.094 0.094 0.959
N2 0.180 0.180 0.416
N3 0.362 0.362 0.311
N4 0.456 0.456 0.769
N5 0.544 0.544 0.231
N6 0.638 0.638 0.689
N7 0.820 0.820 0.584
N8 0.906 0.906 0.041
```